Starting from the GGA+U geometry in Alexandria, the powder diffractogram of La2MgNiO5 was computed for Cu Kα X-rays.
Intensities are scaled so that the largest is 100.

Crystal structure
```
La2MgNiO5
1.0
6.745 0.000 0.000
0.000 6.745 0.000
0.000 0.000 5.610
La Mg Ni O
4 2 2 10
direct
0.174 0.326 0.000
0.326 0.826 0.000
0.674 0.174 0.000
0.826 0.674 0.000
0.000 0.000 0.500
0.500 0.500 0.500
0.000 0.500 0.500
0.500 0.000 0.500
0.000 0.000 0.000
0.141 0.641 0.271
0.141 0.641 0.729
0.359 0.141 0.271
0.359 0.141 0.729
0.500 0.500 0.000
0.641 0.859 0.271
0.641 0.859 0.729
0.859 0.359 0.271
0.859 0.359 0.729
```

Largest 10 diffraction maxima, most intense first, 2θ = 10–90°:
- 33.7 deg, 2.657 Å, intensity 100
- 30.9 deg, 2.890 Å, intensity 78
- 15.8 deg, 5.610 Å, intensity 68
- 44.1 deg, 2.054 Å, intensity 67
- 29.6 deg, 3.016 Å, intensity 36
- 31.9 deg, 2.805 Å, intensity 34
- 45.5 deg, 1.994 Å, intensity 31
- 18.6 deg, 4.769 Å, intensity 31
- 58.0 deg, 1.590 Å, intensity 31
- 56.2 deg, 1.636 Å, intensity 27